(1)
# BaTbCuBO5
Simulated X-ray powder pattern, Cu Kα X-rays. Input: the GGA-PBE geometry in Alexandria.
Kinematic intensities with the Lorentz-polarization factor, no thermal factor.

The 10 most intense peaks (5° ≤ 2θ ≤ 70°), in order of rising 2θ:
- 2θ 11.66, I 16
- 2θ 22.95, I 33
- 2θ 23.44, I 16
- 2θ 32.68, I 46
- 2θ 33.03, I 100
- 2θ 40.61, I 31
- 2θ 46.89, I 25
- 2θ 53.78, I 12
- 2θ 58.55, I 36
- 2θ 59.22, I 16

Cell and atoms:
```
BaTbCuBO5
1.0
5.481 0.000 0.000
0.000 5.481 0.000
0.000 0.000 7.592
Ba Tb Cu B O
2 2 2 2 10
direct
0.000 0.000 0.000
0.500 0.500 0.000
0.000 0.000 0.510
0.500 0.500 0.510
0.000 0.500 0.721
0.500 0.000 0.721
0.000 0.500 0.258
0.500 0.000 0.258
0.000 0.500 0.074
0.158 0.342 0.346
0.247 0.747 0.707
0.253 0.247 0.707
0.342 0.842 0.346
0.500 0.000 0.074
0.658 0.158 0.346
0.747 0.753 0.707
0.753 0.253 0.707
0.842 0.658 0.346
```

(2)
# Al3CuIr2
Simulated X-ray powder pattern, Cu Kα X-rays. Input: the GGA-PBE geometry in Alexandria.
Kinematic intensities with the Lorentz-polarization factor, no thermal factor.

The 10 most intense peaks (5° ≤ 2θ ≤ 70°), in order of rising 2θ:
- 2θ 13.73, I 31
- 2θ 28.26, I 68
- 2θ 30.07, I 58
- 2θ 30.63, I 54
- 2θ 41.74, I 100
- 2θ 42.02, I 49
- 2θ 42.31, I 47
- 2θ 43.46, I 88
- 2θ 52.53, I 26
- 2θ 52.77, I 24

Cell and atoms:
```
Al3CuIr2
1.0
4.286 0.000 0.000
0.000 2.972 0.000
-1.635 0.000 6.450
Al Cu Ir
3 1 2
direct
0.000 0.000 0.000
0.319 0.000 0.664
0.681 0.000 0.336
0.500 0.500 0.000
0.181 0.500 0.327
0.819 0.500 0.673
```

(3)
# TmSiNi2H
Simulated X-ray powder pattern, Cu Kα X-rays. Input: the GGA-PBE geometry in Alexandria.
Kinematic intensities with the Lorentz-polarization factor, no thermal factor.

The 10 most intense peaks (5° ≤ 2θ ≤ 70°), in order of rising 2θ:
- 2θ 25.75, I 24
- 2θ 32.15, I 33
- 2θ 36.16, I 44
- 2θ 37.43, I 100
- 2θ 38.13, I 52
- 2θ 38.68, I 64
- 2θ 44.48, I 28
- 2θ 49.49, I 26
- 2θ 61.72, I 23
- 2θ 67.62, I 25

Cell and atoms:
```
TmSiNi2H
1.0
1.842 -5.045 0.000
1.842 5.045 0.000
0.000 0.000 6.678
Tm Si Ni H
2 2 4 2
direct
0.059 0.941 0.750
0.941 0.059 0.250
0.224 0.776 0.250
0.776 0.224 0.750
0.336 0.664 0.557
0.336 0.664 0.943
0.664 0.336 0.057
0.664 0.336 0.443
0.500 0.500 0.000
0.500 0.500 0.500
```